# 1
Starting from a structure optimized by DFT (GGA-PBE), the XRD peak list of RbYMg14O16 was calculated for λ = 1.5418 Å (Cu Kα).
Lines closer than 0.1° are merged.

Crystal structure
a b c (Å): 8.779 8.779 4.505
angles (deg): 90.00 90.00 90.00
Space group P4/mmm (No. 123)
One atom of each set of equivalent atoms:
1 Rb 0.000 0.000 0.000 (multiplicity 1)
2 Y 0.500 0.500 0.000 (multiplicity 1)
3 Mg 0.000 0.252 0.500 (multiplicity 4)
4 Mg 0.000 0.500 0.000 (multiplicity 2)
5 Mg 0.236 0.500 0.500 (multiplicity 4)
6 Mg 0.244 0.244 0.000 (multiplicity 4)
7 O 0.000 0.000 0.500 (multiplicity 1)
8 O 0.000 0.280 0.000 (multiplicity 4)
9 O 0.000 0.500 0.500 (multiplicity 2)
10 O 0.246 0.500 0.000 (multiplicity 4)
11 O 0.252 0.252 0.500 (multiplicity 4)
12 O 0.500 0.500 0.500 (multiplicity 1)

Peak list (10 most intense, 2θ from 15° to 90°, by intensity)
index, 2theta, intensity
4 0 0, 41.1, 100
4 0 2, 58.7, 61
0 0 2, 40.0, 56
2 2 1, 35.1, 39
4 4 0, 59.6, 28
4 4 2, 74.2, 27
1 1 1, 24.4, 19
2 0 0, 20.2, 18
2 0 1, 28.4, 15
3 1 0, 32.2, 14

=====

# 2
Starting from a structure optimized by DFT (GGA-PBE), the XRD peak list of RbYMg14O16 was calculated for λ = 1.5418 Å (Cu Kα).
Lines closer than 0.1° are merged.

Crystal structure
a b c (Å): 4.496 8.715 8.954
angles (deg): 90.00 90.00 90.00
Space group Pmmm (No. 47)
One atom of each set of equivalent atoms:
1 Rb 0.000 0.000 0.000 (multiplicity 1)
2 Y 0.000 0.000 0.500 (multiplicity 1)
3 Mg 0.000 0.259 0.243 (multiplicity 4)
4 Mg 0.000 0.500 0.000 (multiplicity 1)
5 Mg 0.000 0.500 0.500 (multiplicity 1)
6 Mg 0.500 0.000 0.238 (multiplicity 2)
7 Mg 0.500 0.256 0.000 (multiplicity 2)
8 Mg 0.500 0.262 0.500 (multiplicity 2)
9 Mg 0.500 0.500 0.247 (multiplicity 2)
10 O 0.000 0.000 0.265 (multiplicity 2)
11 O 0.000 0.262 0.500 (multiplicity 2)
12 O 0.000 0.282 0.000 (multiplicity 2)
13 O 0.000 0.500 0.257 (multiplicity 2)
14 O 0.500 0.000 0.000 (multiplicity 1)
15 O 0.500 0.000 0.500 (multiplicity 1)
16 O 0.500 0.250 0.251 (multiplicity 4)
17 O 0.500 0.500 0.000 (multiplicity 1)
18 O 0.500 0.500 0.500 (multiplicity 1)

Peak list (10 most intense, 2θ from 15° to 90°, by intensity)
index, 2theta, intensity
2 0 0, 40.1, 100
0 0 4, 40.3, 97
0 4 0, 41.4, 90
1 2 2, 35.0, 69
2 0 4, 58.2, 58
0 4 4, 59.2, 54
2 4 0, 59.0, 54
2 4 4, 73.9, 49
0 1 2, 22.3, 41
0 0 2, 19.8, 32

=====

# 3
Starting from a structure optimized by DFT (GGA-PBE), the XRD peak list of MgReO3 was calculated for λ = 1.5418 Å (Cu Kα).
Lines closer than 0.1° are merged.

Crystal structure
a b c (Å): 3.923 3.923 3.923
angles (deg): 90.00 90.00 90.00
Space group Pm-3m (No. 221)
One atom of each set of equivalent atoms:
1 Mg 0.000 0.000 0.000 (multiplicity 1)
2 Re 0.500 0.500 0.500 (multiplicity 1)
3 O 0.000 0.500 0.500 (multiplicity 3)

Peak list (10 most intense, 2θ from 15° to 90°, by intensity)
index, 2theta, intensity
1 0 0, 22.7, 100
1 1 0, 32.3, 100
2 1 0, 52.1, 42
2 1 1, 57.6, 40
2 0 0, 46.3, 32
3 0 0, 72.3, 20
2 2 0, 67.5, 20
3 1 0, 76.9, 18
1 1 1, 39.8, 12
2 2 2, 85.8, 7

=====

# 4
Starting from a structure optimized by DFT (GGA-PBE), the XRD peak list of MgRe2O8 was calculated for λ = 1.5418 Å (Cu Kα).
Lines closer than 0.1° are merged.

Crystal structure
a b c (Å): 5.8186 5.8186 6.6666
angles (deg): 90.00 90.00 120.00
Space group P-3m1 (No. 164)
One atom of each set of equivalent atoms:
1 Mg 0.0000 0.0000 0.0000 (multiplicity 1)
2 Re 0.3333 0.6667 0.2674 (multiplicity 2)
3 O 0.1691 0.3382 0.1794 (multiplicity 6)
4 O 0.3333 0.6667 0.5275 (multiplicity 2)

Peak list (10 most intense, 2θ from 15° to 90°, by intensity)
index, 2theta, intensity
0 1 1, 22.1, 100
1 1 0, 30.7, 28
1 2 1, 49.8, 22
1 0 0, 17.6, 18
1 1 4, 64.4, 16
0 1 3, 44.6, 14
1 1 2, 41.2, 13
2 0 1, 38.2, 12
0 0 2, 26.7, 12
1 0 2, 32.2, 11

=====

# 5
Starting from a structure optimized by DFT (GGA-PBE), the XRD peak list of MgRe2O8 was calculated for λ = 1.5418 Å (Cu Kα).
Lines closer than 0.1° are merged.

Crystal structure
a b c (Å): 5.8200 5.8200 6.1471
angles (deg): 90.00 90.00 120.00
Space group P-3 (No. 147)
One atom of each set of equivalent atoms:
1 Mg 0.0000 0.0000 0.0000 (multiplicity 1)
2 Re 0.3333 0.6667 0.2886 (multiplicity 2)
3 O 0.1362 0.3397 0.1949 (multiplicity 6)
4 O 0.3333 0.6667 0.5703 (multiplicity 2)

Peak list (10 most intense, 2θ from 15° to 90°, by intensity)
index, 2theta, intensity
0 1 1, 22.8, 100
1 1 0, 30.7, 32
3 -2 1, 50.1, 23
1 0 0, 17.6, 20
1 0 2, 34.2, 16
2 0 1, 38.6, 12
1 1 2, 42.8, 11
0 1 3, 47.9, 11
0 0 2, 29.1, 10
0 2 2, 46.6, 10

=====

# 6
Starting from a structure optimized by DFT (GGA-PBE), the XRD peak list of MgRe2O8 was calculated for λ = 1.5418 Å (Cu Kα).
Lines closer than 0.1° are merged.

Crystal structure
a b c (Å): 10.4363 10.4363 5.1274
angles (deg): 90.00 90.00 120.00
Space group P31m (No. 157)
One atom of each set of equivalent atoms:
1 Mg 0.0000 0.0000 0.0000 (multiplicity 1)
2 Mg 0.3333 0.6667 0.4990 (multiplicity 2)
3 Re 0.0000 0.3552 0.1437 (multiplicity 3)
4 Re 0.0000 0.6827 0.6251 (multiplicity 3)
5 O 0.0000 0.1896 0.2144 (multiplicity 3)
6 O 0.0000 0.3699 0.8088 (multiplicity 3)
7 O 0.0000 0.6936 0.2895 (multiplicity 3)
8 O 0.0000 0.8370 0.7656 (multiplicity 3)
9 O 0.1591 0.5106 0.2693 (multiplicity 6)
10 O 0.1622 0.6802 0.7139 (multiplicity 6)

Peak list (10 most intense, 2θ from 15° to 90°, by intensity)
index, 2theta, intensity
2 -1 1, 24.3, 100
3 0 0, 29.7, 41
1 1 0, 17.0, 28
5 -1 1, 49.5, 24
3 0 2, 46.5, 19
2 2 1, 38.7, 16
2 -1 3, 56.7, 12
1 1 2, 39.1, 9
0 0 2, 35.0, 9
2 2 0, 34.4, 9

=====

# 7
Starting from a structure optimized by DFT (GGA-PBE), the XRD peak list of MgTa2Re2O12 was calculated for λ = 1.5418 Å (Cu Kα).
Lines closer than 0.1° are merged.

Crystal structure
a b c (Å): 5.213 7.545 5.480
angles (deg): 90.00 90.02 90.00
Space group Pm (No. 6)
One atom of each set of equivalent atoms:
1 Mg 0.000 0.000 0.000 (multiplicity 1)
2 Ta 0.018 0.253 0.552 (multiplicity 2)
3 Re 0.516 0.255 0.060 (multiplicity 2)
4 O 0.103 0.000 0.605 (multiplicity 1)
5 O 0.236 0.291 0.851 (multiplicity 2)
6 O 0.327 0.288 0.344 (multiplicity 2)
7 O 0.401 0.000 0.067 (multiplicity 1)
8 O 0.594 0.500 0.052 (multiplicity 1)
9 O 0.735 0.202 0.790 (multiplicity 2)
10 O 0.829 0.188 0.249 (multiplicity 2)
11 O 0.920 0.500 0.536 (multiplicity 1)

Peak list (10 most intense, 2θ from 15° to 90°, by intensity)
index, 2theta, intensity
1 0 1, 23.6, 100
1 2 1, 33.6, 46
2 2 2, 54.3, 28
2 0 -2, 48.2, 19
0 0 2, 32.7, 12
3 2 1, 61.1, 11
2 0 0, 34.4, 10
1 2 -3, 58.9, 10
2 2 0, 42.1, 9
0 2 2, 40.7, 9